Computed powder diffraction line list
Compound: Ba4Nd2Cu6O13
Radiation: Cu Kα (λ = 1.5418 Å)
Structure: the PBE geometry in Alexandria
Kinematic intensities with the Lorentz-polarization factor, no thermal factor.

Cell and atoms:
```
25
Lattice="0.0000 3.9687 12.0760 3.8973 0.0000 12.0760 3.8973 3.9687 0.0000" Properties=species:S:1:pos:R:3 pbc="T T T"
Ba 5.9034 3.9687 9.7879
Ba 5.9034 3.9687 14.3641
Ba 1.8913 3.9687 9.7879
Ba 1.8913 3.9687 14.3641
Nd 1.9487 0.0000 6.0380
Nd 1.9487 3.9687 6.0380
Cu 3.8973 1.9954 7.7375
Cu 3.8973 1.8995 12.0760
Cu 3.8973 1.9954 16.4145
Cu 3.8973 5.9421 7.7375
Cu 3.8973 6.0380 12.0760
Cu 3.8973 5.9421 16.4145
O 0.0000 0.0000 0.0000
O 3.8973 3.9687 4.4655
O 1.9487 1.9844 4.5100
O 3.8973 2.1641 10.2694
O 1.9487 1.9844 7.5660
O 3.8973 3.9687 7.5517
O 3.8973 2.1641 13.8826
O 3.8973 5.7734 10.2694
O 3.8973 3.9687 16.6002
O 5.8460 5.9531 16.5860
O 3.8973 5.7734 13.8826
O 5.8460 5.9531 19.6419
O 3.8973 3.9687 19.6865
```

Largest 10 diffraction maxima, low angle first, 2θ from 5° to 70°:
2θ/deg, d_spacing, intensity
7.32, 12.076, 32.3
31.66, 2.826, 92.0
31.96, 2.800, 95.3
32.19, 2.781, 100.0
39.38, 2.288, 26.9
45.72, 1.984, 28.5
46.61, 1.949, 27.1
56.44, 1.630, 26.8
56.87, 1.619, 36.4
57.44, 1.604, 33.0


Computed powder diffraction line list
Compound: Cd8Hg
Radiation: Cu Kα (λ = 1.5418 Å)
Structure: the PBE geometry in Alexandria
Kinematic intensities with the Lorentz-polarization factor, no thermal factor.

Cell and atoms:
```
9
Lattice="4.9891 0.0000 0.0000 2.4060 6.0125 0.0000 0.2083 0.0155 7.0454" Properties=species:S:1:pos:R:3 pbc="T T T"
Cd 0.8465 2.0131 1.1692
Cd 2.5681 2.0216 3.5235
Cd 4.2395 6.0251 5.8767
Cd 3.3114 4.0001 1.1705
Cd 4.2920 2.0279 5.8750
Cd 3.3639 0.0030 1.1687
Cd 5.0353 4.0064 3.5219
Cd 6.7569 4.0149 5.8762
Hg 0.1042 0.0078 3.5227
```

Largest 10 diffraction maxima, low angle first, 2θ from 5° to 70°:
2θ/deg, d_spacing, intensity
31.33, 2.855, 84.9
31.75, 2.818, 81.5
37.97, 2.370, 100.0
38.30, 2.350, 97.6
45.21, 2.006, 60.2
59.93, 1.543, 12.7
60.03, 1.541, 12.5
60.67, 1.527, 36.4
60.87, 1.522, 24.1
61.02, 1.519, 12.0


Computed powder diffraction line list
Compound: VTcRu3
Radiation: Cu Kα (λ = 1.5418 Å)
Structure: the PBE geometry in Alexandria
Kinematic intensities with the Lorentz-polarization factor, no thermal factor.

Cell and atoms:
```
10
Lattice="4.3087 0.0000 0.0000 0.0075 5.4090 0.0000 2.1458 1.4495 6.0432" Properties=species:S:1:pos:R:3 pbc="T T T"
V 4.3108 1.3149 0.0067
V 2.1513 5.5436 6.0365
Tc 2.1526 2.1705 1.2613
Tc 4.3095 4.6880 4.7819
Ru 2.1530 3.4456 3.6900
Ru 2.1582 6.1535 3.6807
Ru 2.1595 4.8231 1.2935
Ru 4.3025 2.0354 4.7497
Ru 4.3039 0.7050 2.3625
Ru 4.3090 3.4129 2.3532
```

Largest 10 diffraction maxima, low angle first, 2θ from 5° to 70°:
2θ/deg, d_spacing, intensity
14.66, 6.043, 9.5
39.85, 2.262, 10.6
40.47, 2.229, 27.7
41.97, 2.153, 100.0
42.39, 2.132, 25.9
42.87, 2.110, 37.9
42.93, 2.107, 37.7
59.63, 1.551, 8.6
59.77, 1.547, 8.4
63.45, 1.466, 9.2